[1]
Starting from a DFT-relaxed cell (GGA+U, the Materials Project), the X-ray powder pattern of MgTl2Fe2O4 was simulated for λ = 1.5418 Å (Cu Kα).

Principal peaks in the range 2θ from 10° to 80°, in order of rising 2θ:
(0 0 3), 2θ 15.77, rel. 23; (0 1 2), 2θ 20.66, rel. 66; (1 1 0), 2θ 30.98, rel. 100; (0 1 5), 2θ 32.02, rel. 78; (1 1 3), 2θ 34.95, rel. 38; (1 0 7), 2θ 41.63, rel. 17; (2 0 5), 2θ 45.15, rel. 38; (3 0 0), 2θ 55.11, rel. 20; (1 2 5), 2θ 55.77, rel. 33; (1 0 10), 2θ 57.71, rel. 24

a b c (Å): 5.7730 5.7730 16.8567
angles (deg): 90.00 90.00 120.00
Space group R-3m (No. 166, hexagonal axes)
One atom of each set of equivalent atoms:
Mg1 0.0000 0.0000 0.0000 (multiplicity 3)
Tl1 0.0000 0.0000 0.1980 (multiplicity 6)
Fe1 0.0000 0.0000 0.3886 (multiplicity 6)
O1 0.0000 0.0000 0.5000 (multiplicity 3)
O2 0.0000 0.5000 0.0000 (multiplicity 9)

---

[2]
Starting from a DFT-relaxed cell (GGA+U, the Materials Project), the X-ray powder pattern of Nd2NiO4 was simulated for λ = 1.5418 Å (Cu Kα).

Principal peaks in the range 2θ from 10° to 80°, in order of rising 2θ:
(1 1 1), 2θ 23.83, rel. 31; (0 0 2), 2θ 31.49, rel. 37; (1 3 1), 2θ 31.71, rel. 100; (2 0 0), 2θ 33.04, rel. 36; (0 4 2), 2θ 43.56, rel. 15; (1 5 1), 2θ 43.73, rel. 22; (2 4 0), 2θ 44.75, rel. 15; (2 0 2), 2θ 46.29, rel. 35; (1 3 3), 2θ 56.21, rel. 21; (3 3 1), 2θ 58.18, rel. 18

a b c (Å): 5.4222 12.1843 5.6821
angles (deg): 90.00 90.00 90.00
Space group Cmce (No. 64)
One atom of each set of equivalent atoms:
Nd1 0.0000 0.1370 0.0174 (multiplicity 8)
Ni1 0.0000 0.0000 0.5000 (multiplicity 4)
O1 0.0000 0.1797 0.4292 (multiplicity 8)
O2 0.2500 0.0205 0.7500 (multiplicity 8)